Starting from DFT lattice parameters and positions (PBE+U), the XRD peak list of Ba8SrCa3W4O24 was simulated for Cu Kα.

Principal peaks in the range 2θ from 15° to 90°, low angle first:
| two_theta | d/Å | I/Imax | hkl |
| --- | --- | --- | --- |
| 18.0 | 4.938 | 29 | 1 0 1 |
| 29.4 | 3.041 | 66 | 1 -1 3 |
| 29.5 | 3.026 | 100 | 0 3 -2 |
| 29.6 | 3.016 | 34 | 2 -1 0 |
| 42.3 | 2.138 | 38 | 2 2 -2 |
| 52.5 | 1.745 | 26 | 1 -6 1 |

Atomic structure:
```
data_Ba8SrCa3W4O24
_chemical_formula_sum 'Ba8 Sr1 Ca3 W4 O24'
_cell_length_a 6.0317
_cell_length_b 10.4711
_cell_length_c 10.5640
_cell_angle_alpha 99.59
_cell_angle_beta 90.19
_cell_angle_gamma 106.72
_space_group_name_H-M_alt 'P -1'
_space_group_IT_number 2
_space_group_name_Hall '-P 1'
loop_
_atom_site_label
_atom_site_type_symbol
_atom_site_fract_x
_atom_site_fract_y
_atom_site_fract_z
Ba1 Ba 0.0608 0.1265 0.1846
Ba2 Ba 0.1885 0.3798 0.5630
Ba3 Ba 0.3107 0.6240 0.9392
Ba4 Ba 0.4377 0.8734 0.3040
Sr1 Sr 0.0000 0.0000 0.5000
Ca1 Ca 0.2513 0.5002 0.2508
Ca2 Ca 0.5000 0.0000 0.0000
W1 W 0.1267 0.2517 0.8781
W2 W 0.3765 0.7473 0.6262
O1 O 0.0215 0.6344 0.2011
O2 O 0.0648 0.6514 0.6742
O3 O 0.0842 0.1246 0.7163
O4 O 0.1694 0.3764 0.0430
O5 O 0.1782 0.8512 0.0714
O6 O 0.2572 0.8690 0.5438
O7 O 0.2748 0.1361 0.9558
O8 O 0.3100 0.1635 0.4175
O9 O 0.3280 0.6208 0.4608
O10 O 0.4200 0.8747 0.7907
O11 O 0.4310 0.3523 0.8270
O12 O 0.4961 0.3755 0.2938
```